Entry 1:
This entry pairs a crystal structure of Li3Ti3AlS8 with its calculated XRD peak list. Radiation: copper Kα. Structure: a DFT-relaxed cell (GGA-PBE, Alexandria).

Peak list (10 most intense, 2θ = 10–90°, low angle first)
Position (°2θ)  I_rel
14.39  63
30.09  17
35.61  100
45.74  12
49.79  33
52.68  29
54.91  9
65.21  15
84.02  12
88.53  13

Atomic structure:
```
Li3Ti3AlS8
1.0
3.4751 2.0064 6.1544
-3.4751 2.0064 6.1544
0.0000 -4.0127 6.1544
Li Ti Al S
3 3 1 8
Cartesian
-1.7376 -1.0032 6.1544
-1.7376 1.0032 12.3089
0.0000 2.0064 6.1544
-3.4751 0.0000 9.2317
-1.7376 1.0032 3.0772
1.7376 1.0032 3.0772
0.0000 0.0000 9.2317
0.0000 0.0000 4.5276
-1.7140 -0.9896 10.6332
0.0000 -1.9792 7.8301
-1.7140 0.9896 7.8301
1.7140 -0.9896 10.6332
0.0000 1.9792 10.6332
1.7140 0.9896 7.8301
0.0000 0.0000 13.9357
```



Entry 2:
This entry pairs a crystal structure of BaTlAu4 with its calculated XRD peak list. Radiation: copper Kα. Structure: a DFT-relaxed cell (GGA-PBE, Alexandria).

Peak list (10 most intense, 2θ = 10–90°, low angle first)
Position (°2θ)  I_rel
21.19  56
28.56  100
30.89  66
32.25  55
32.73  94
33.43  33
38.39  50
39.40  32
43.14  65
44.26  44

Atomic structure:
```
BaTlAu4
1.0
9.8091 0.0000 0.0000
0.0000 16.0022 0.0000
0.0000 0.0000 4.1928
Ba Tl Au
4 4 16
Cartesian
1.2094 2.2683 0.0000
3.6952 10.2694 0.0000
6.1140 5.7328 0.0000
8.5997 13.7339 0.0000
1.3609 6.6042 0.0000
3.5437 14.6053 0.0000
6.2654 1.3969 0.0000
8.4483 9.3980 0.0000
0.1185 4.7524 2.0964
1.2305 15.4295 2.0964
1.2743 8.8707 2.0964
2.0775 12.7264 2.0964
2.8271 4.7253 2.0964
3.6303 0.8696 2.0964
3.6741 7.4284 2.0964
4.7861 12.7535 2.0964
5.0230 3.2487 2.0964
6.1350 8.5738 2.0964
6.1788 15.1326 2.0964
6.9820 11.2769 2.0964
7.7317 3.2758 2.0964
8.5348 7.1315 2.0964
8.5787 0.5727 2.0964
9.6906 11.2498 2.0964
```



Entry 3:
This entry pairs a crystal structure of K5Na3Ta2Nb6O24 with its calculated XRD peak list. Radiation: copper Kα. Structure: a DFT-relaxed cell (GGA-PBE, Alexandria).

Peak list (10 most intense, 2θ = 10–90°, low angle first)
Position (°2θ)  I_rel
21.79  68
22.22  32
30.89  26
31.11  25
31.32  100
44.42  39
50.19  21
55.21  20
55.49  20
65.34  22

Atomic structure:
```
K5Na3Ta2Nb6O24
1.0
8.0018 0.0000 0.0000
0.0000 5.7492 5.7887
0.0000 -5.7492 5.7887
K Na Ta Nb O
5 3 2 6 24
Cartesian
0.0000 0.0000 0.0000
0.0000 -2.8698 2.9072
0.0000 0.0000 5.7815
0.0000 2.8698 2.9072
4.0009 0.0000 11.5755
4.0009 -2.8819 3.1265
4.0009 0.0000 5.9959
4.0009 2.8819 3.1265
2.0123 0.0000 8.7380
5.9895 0.0000 8.7380
2.0154 -2.8701 5.8736
2.0154 2.8701 5.8736
2.0209 0.0000 2.9878
5.9809 0.0000 2.9878
5.9864 -2.8701 5.8736
5.9864 2.8701 5.8736
0.0000 0.0000 2.7883
0.0000 -2.8482 5.6757
0.0000 2.8482 5.6757
0.0000 0.0000 8.5648
2.0148 -4.2818 7.1334
2.0148 4.2818 7.1334
2.0301 -1.4324 10.0025
2.0301 1.4324 10.0025
2.0418 -1.4296 4.2305
2.0418 1.4296 4.2305
2.0447 -1.4199 7.1268
2.0447 1.4199 7.1268
4.0009 0.0000 2.7421
4.0009 -2.8539 5.6206
4.0009 2.8539 5.6206
4.0009 0.0000 8.5381
5.9571 -1.4199 7.1268
5.9571 1.4199 7.1268
5.9600 -1.4296 4.2305
5.9600 1.4296 4.2305
5.9717 -1.4324 10.0025
5.9717 1.4324 10.0025
5.9870 -4.2818 7.1334
5.9870 4.2818 7.1334
```



Entry 4:
This entry pairs a crystal structure of Tl2P3Se with its calculated XRD peak list. Radiation: copper Kα. Structure: a DFT-relaxed cell (GGA-PBE, Alexandria).

Peak list (10 most intense, 2θ = 10–90°, low angle first)
Position (°2θ)  I_rel
21.61  23
22.57  24
25.96  100
27.25  86
27.64  32
28.50  33
30.00  54
32.74  58
33.36  40
42.16  21

Atomic structure:
```
Tl2P3Se
1.0
5.4809 0.0000 0.0000
-2.7168 6.5970 0.0000
-2.2405 -1.8979 10.9176
Tl P Se
4 6 2
Cartesian
-1.1381 1.0490 4.9459
-1.0644 5.0193 3.0568
1.5881 -0.3202 7.8608
1.6617 3.6501 5.9717
-1.1654 0.0883 7.6828
-0.5749 3.8185 0.2425
-1.0812 3.6121 6.6250
1.6049 1.0870 4.2926
1.0986 0.8806 10.6751
1.6890 4.6108 3.2348
-1.0347 2.2414 8.4644
1.5583 2.4577 2.4532
```



Entry 5:
This entry pairs a crystal structure of Mg2NiH4 with its calculated XRD peak list. Radiation: copper Kα. Structure: a DFT-relaxed cell (GGA-PBE, Alexandria).

Peak list (10 most intense, 2θ = 10–90°, low angle first)
Position (°2θ)  I_rel
23.96  54
24.11  50
39.46  20
39.82  100
46.78  16
47.07  23
57.34  14
63.38  8
71.80  12
72.34  12

Atomic structure:
```
Mg2NiH4
1.0
-2.2616 3.1918 2.2834
2.2616 -3.1918 2.2834
2.2616 3.1918 -2.2834
Mg Ni H
2 1 4
Cartesian
0.0000 1.5836 0.0000
0.0000 4.7999 0.0000
2.2616 0.0000 0.1411
2.2616 1.4697 -0.2700
1.1684 3.1918 -1.1204
1.0932 0.0000 1.1630
0.0000 1.7221 2.0133
```



Entry 6:
This entry pairs a crystal structure of Ta4Mn2Si5 with its calculated XRD peak list. Radiation: copper Kα. Structure: a DFT-relaxed cell (GGA-PBE, Alexandria).

Peak list (10 most intense, 2θ = 10–90°, low angle first)
Position (°2θ)  I_rel
12.49  25
25.13  29
29.41  32
30.77  79
36.12  41
39.90  57
40.35  100
40.48  35
41.64  37
67.83  30

Atomic structure:
```
Ta4Mn2Si5
1.0
-3.9491 8.0336 2.4869
3.9491 -8.0336 2.4869
3.9491 8.0336 -2.4869
Ta Mn Si
8 4 10
Cartesian
5.8793 1.0221 0.0000
0.8626 2.2827 0.0000
4.8117 5.7509 0.0000
1.9302 7.0115 0.0000
2.0189 1.0221 2.4869
-0.8626 2.2827 2.4869
3.0865 5.7509 2.4869
-1.9302 7.0115 2.4869
3.9491 -3.1313 1.2434
3.9491 3.1313 1.2434
0.0000 4.9023 1.2434
0.0000 11.1649 1.2434
3.3064 1.1594 0.0000
2.3181 -4.5044 2.4869
0.0000 0.0000 1.2434
2.3181 4.5044 0.0000
3.3064 -1.1594 2.4869
0.6427 9.1930 0.0000
1.6310 3.5293 2.4869
0.0000 0.0000 3.7303
1.6310 12.5380 0.0000
0.6427 6.8742 2.4869
```